No. 1
Structure and theoretical powder X-ray diffraction pattern of Ba2As7Pd12 (a structure optimized by DFT (GGA-PBE); λ = 1.5418 Å (Cu Kα)).

Principal peaks in the range 2θ from 5° to 70°, by angle:
| d [Å] | 2theta | Rel. int. |
| --- | --- | --- |
| 2.635 | 34.03 | 100 |
| 2.430 | 37.00 | 13 |
| 2.220 | 40.64 | 8 |
| 2.129 | 42.46 | 44 |
| 2.037 | 44.48 | 13 |
| 1.967 | 46.15 | 9 |
| 1.938 | 46.89 | 19 |
| 1.432 | 65.12 | 11 |

Structural model:
```
Ba2As7Pd12
1.0
10.253 0.000 0.000
-5.126 8.879 0.000
0.000 0.000 4.254
Ba As Pd
2 7 12
direct
0.333 0.667 0.246 Ba
0.667 0.333 0.754 Ba
0.000 0.000 0.500 As
0.105 0.400 0.747 As
0.295 0.895 0.747 As
0.400 0.295 0.253 As
0.600 0.705 0.747 As
0.705 0.105 0.253 As
0.895 0.600 0.253 As
0.053 0.622 0.747 Pd
0.111 0.863 0.226 Pd
0.137 0.248 0.226 Pd
0.248 0.111 0.774 Pd
0.378 0.431 0.747 Pd
0.431 0.053 0.253 Pd
0.569 0.947 0.747 Pd
0.622 0.569 0.253 Pd
0.752 0.889 0.226 Pd
0.863 0.752 0.774 Pd
0.889 0.137 0.774 Pd
0.947 0.378 0.253 Pd
```

No. 2
Structure and theoretical powder X-ray diffraction pattern of BaAs2PdSe8 (a structure optimized by DFT (GGA-PBE); λ = 1.5418 Å (Cu Kα)).

Principal peaks in the range 2θ from 5° to 70°, by angle:
| d [Å] | 2theta | Rel. int. |
| --- | --- | --- |
| 3.518 | 25.32 | 60 |
| 3.135 | 28.47 | 53 |
| 3.060 | 29.18 | 39 |
| 2.910 | 30.73 | 100 |
| 2.565 | 34.98 | 87 |
| 2.551 | 35.18 | 39 |
| 1.865 | 48.84 | 79 |
| 1.767 | 51.74 | 47 |

Structural model:
```
BaAs2PdSe8
1.0
6.120 0.000 0.000
-3.060 5.300 0.000
0.000 0.000 9.406
Ba As Pd Se
1 2 1 8
direct
0.000 0.000 0.000 Ba
0.333 0.667 0.745 As
0.667 0.333 0.255 As
0.000 0.000 0.500 Pd
0.068 0.708 0.330 Se
0.292 0.361 0.330 Se
0.333 0.667 0.992 Se
0.361 0.068 0.670 Se
0.639 0.932 0.330 Se
0.667 0.333 0.008 Se
0.708 0.639 0.670 Se
0.932 0.292 0.670 Se
```

Question: Number 2 is which compound?
Answer: BaAs2PdSe8